Calculated XRD peak list of FeNiP2O8 for Cu Kα X-rays, from a crystal structure in Alexandria, relaxed with PBE+U.

Structural model:
Lattice parameters (Å, degrees): 8.6010 8.6010 20.7212 90.00 90.00 120.00
Space group R3 (No. 146, hexagonal axes)
Symmetry-distinct sites (fractional):
Fe 0.0000 0.0000 0.0000
Fe 0.0000 0.0000 0.2147
Fe 0.0000 0.0000 0.4994
Ni 0.0000 0.0000 0.3569
Ni 0.0000 0.0000 0.7160
Ni 0.0000 0.0000 0.8563
P 0.0022 0.2979 0.6061
P 0.0367 0.6688 0.7749
O 0.0009 0.8261 0.7848
O 0.0090 0.8098 0.1678
O 0.0286 0.1884 0.2841
O 0.0350 0.2161 0.6675
O 0.1407 0.4686 0.2128
O 0.1540 0.6992 0.7140
O 0.1606 0.4934 0.5975
O 0.1736 0.6951 0.0961

The 10 most intense peaks (5° ≤ 2θ ≤ 70°), sorted by position:
| two_theta | d/Å | I (rel.) | h k l |
| --- | --- | --- | --- |
| 20.65 | 4.301 | 98 | 1 1 0 |
| 24.38 | 3.651 | 100 | 1 1 3 |
| 25.41 | 3.505 | 22 | 2 0 2 |
| 33.27 | 2.693 | 75 | 2 -1 6 |
| 36.18 | 2.483 | 44 | 3 0 0 |
| 47.71 | 1.906 | 39 | 1 2 8 |
| 49.96 | 1.825 | 29 | 4 -2 6 |
| 56.63 | 1.625 | 28 | 1 4 0 |
| 57.02 | 1.615 | 19 | 3 1 8 |
| 63.23 | 1.471 | 22 | 5 -4 6 |